Structure and calculated XRD peak list of Ce4Sm2Te3N2 (DFT lattice parameters and positions (PBE); λ = 1.5418 Å (Cu Kα)).
Lines closer than 0.1° are merged.

Cell and atoms:
Cell lengths 4.620, 4.620, 26.684 Å; angles 90.00, 90.00, 90.00 degrees
Space group I4/mmm (No. 139)
Symmetry-distinct sites (fractional):
Ce  0.000  0.500  0.087 [8 per cell]
Sm  0.000  0.000  0.198 [4 per cell]
Te  0.000  0.000  0.320 [4 per cell]
Te  0.000  0.000  0.500 [2 per cell]
N  0.000  0.000  0.108 [4 per cell]

Top 8 peaks for 2θ = 10–90°, low angle first:
2θ = 28.12°, intensity 46
2θ = 30.44°, intensity 43
2θ = 33.58°, intensity 21
2θ = 34.05°, intensity 100
2θ = 38.99°, intensity 55
2θ = 52.39°, intensity 24
2θ = 56.32°, intensity 19
2θ = 67.48°, intensity 27